# 1
Diffraction record for K2NaZn3Sn4. The XRD peak list is calculated, not measured: it uses a PBE-relaxed structure and copper Kα.

abc: 4.7771 4.7771 12.0676
angles: 90.00 90.00 90.00
Space group P-4m2 (No. 115)
Unique sites:
K (0.0000, 0.5000, 0.2448) x2
Na (0.0000, 0.0000, 0.5000) x1
Zn (0.0000, 0.5000, 0.8653) x2
Zn (0.5000, 0.5000, 0.5000) x1
Sn (0.0000, 0.0000, 0.0000) x1
Sn (0.0000, 0.5000, 0.6425) x2
Sn (0.5000, 0.5000, 0.0000) x1

Largest 10 diffraction maxima, by angle, 2θ = 10–90°:
| 2theta | d/Å | Rel. int. | hkl |
| --- | --- | --- | --- |
| 20.0 | 4.442 | 53 | 1 0 1 |
| 29.0 | 3.077 | 35 | 1 0 3 |
| 30.3 | 2.947 | 100 | 1 1 2 |
| 37.7 | 2.389 | 75 | 2 0 0 |
| 40.1 | 2.250 | 75 | 1 1 4 |
| 41.9 | 2.154 | 34 | 1 0 5 |
| 54.3 | 1.689 | 26 | 2 2 0 |
| 57.6 | 1.600 | 26 | 2 1 5 |
| 63.5 | 1.465 | 24 | 3 1 2 |
| 69.6 | 1.351 | 30 | 3 1 4 |

# 2
Diffraction record for KNa10Sr6. The XRD peak list is calculated, not measured: it uses a PBE-relaxed structure and copper Kα.

abc: 11.0489 11.0489 7.6269
angles: 90.00 90.00 120.00
Space group P-31m (No. 162)
Unique sites:
K (0.0000, 0.0000, 0.0000) x1
Na (0.0000, 0.2970, 0.3282) x6
Na (0.3333, 0.6667, 0.0000) x2
Na (0.3333, 0.6667, 0.5000) x2
Sr (0.0000, 0.3653, 0.8132) x6

Largest 10 diffraction maxima, by angle, 2θ = 10–90°:
| 2theta | d/Å | Rel. int. | hkl |
| --- | --- | --- | --- |
| 16.0 | 5.524 | 22 | 1 1 0 |
| 19.8 | 4.474 | 71 | 2 -1 1 |
| 27.3 | 3.268 | 25 | 3 -1 1 |
| 28.0 | 3.190 | 93 | 3 0 0 |
| 28.4 | 3.138 | 100 | 1 1 2 |
| 34.5 | 2.597 | 15 | 2 2 1 |
| 35.8 | 2.506 | 15 | 4 -1 1 |
| 40.3 | 2.237 | 30 | 4 -2 2 |
| 49.8 | 1.831 | 26 | 4 1 2 |
| 50.6 | 1.802 | 21 | 2 -1 4 |

# 3
Diffraction record for KNa5Sr2. The XRD peak list is calculated, not measured: it uses a PBE-relaxed structure and copper Kα.

abc: 6.2382 6.2382 18.5490
angles: 90.00 90.00 90.00
Space group I4/mmm (No. 139)
Unique sites:
K (0.0000, 0.0000, 0.0000) x2
Na (0.0000, 0.0000, 0.5000) x2
Na (0.0000, 0.5000, 0.1208) x8
Sr (0.0000, 0.0000, 0.2542) x4

Largest 10 diffraction maxima, by angle, 2θ = 10–90°:
| 2theta | d/Å | Rel. int. | hkl |
| --- | --- | --- | --- |
| 19.1 | 4.637 | 11 | 0 0 4 |
| 20.1 | 4.409 | 22 | 1 1 0 |
| 22.3 | 3.983 | 20 | 1 1 2 |
| 27.9 | 3.196 | 100 | 1 1 4 |
| 28.6 | 3.119 | 47 | 2 0 0 |
| 34.7 | 2.588 | 10 | 2 0 4 |
| 40.9 | 2.206 | 17 | 2 2 0 |
| 48.9 | 1.861 | 19 | 2 0 8 |
| 50.3 | 1.815 | 37 | 3 1 4 |
| 57.7 | 1.598 | 12 | 2 2 8 |

# 4
Diffraction record for K2Na15Sr2. The XRD peak list is calculated, not measured: it uses a PBE-relaxed structure and copper Kα.

abc: 12.4947 12.4947 18.5448
angles: 90.00 90.00 120.00
Space group R-3m (No. 166, hexagonal axes)
Unique sites:
K (0.0000, 0.0000, 0.1539) x6
Na (0.0000, 0.2934, 0.5000) x18
Na (0.0000, 0.5000, 0.0000) x9
Na (0.0070, 0.5035, 0.6482) x18
Sr (0.0000, 0.0000, 0.3937) x6

Largest 10 diffraction maxima, by angle, 2θ = 10–90°:
| 2theta | d/Å | Rel. int. | hkl |
| --- | --- | --- | --- |
| 14.2 | 6.247 | 29 | 1 1 0 |
| 20.8 | 4.262 | 27 | 1 0 4 |
| 24.7 | 3.607 | 54 | 3 0 0 |
| 25.3 | 3.518 | 59 | 0 2 4 |
| 28.6 | 3.121 | 100 | 2 2 0 |
| 29.2 | 3.063 | 72 | 2 0 5 |
| 32.1 | 2.788 | 41 | 2 2 3 |
| 41.3 | 2.188 | 21 | 3 2 4 |
| 50.6 | 1.803 | 21 | 6 0 0 |
| 51.0 | 1.790 | 46 | 0 3 9 |

# 5
Diffraction record for K12Na3Sr. The XRD peak list is calculated, not measured: it uses a PBE-relaxed structure and copper Kα.

abc: 6.3145 6.3145 25.5087
angles: 90.00 90.00 90.00
Space group P4/mmm (No. 123)
Unique sites:
K (0.0000, 0.0000, 0.0000) x1
K (0.0000, 0.0000, 0.2440) x2
K (0.0000, 0.0000, 0.5000) x1
K (0.0000, 0.5000, 0.1227) x4
K (0.0000, 0.5000, 0.3670) x4
Na (0.5000, 0.5000, 0.0000) x1
Na (0.5000, 0.5000, 0.2456) x2
Sr (0.5000, 0.5000, 0.5000) x1

Largest 10 diffraction maxima, by angle, 2θ = 10–90°:
| 2theta | d/Å | Rel. int. | hkl |
| --- | --- | --- | --- |
| 24.3 | 3.657 | 100 | 1 1 4 |
| 28.0 | 3.189 | 16 | 0 0 8 |
| 28.3 | 3.157 | 34 | 2 0 0 |
| 40.2 | 2.244 | 23 | 2 0 8 |
| 40.4 | 2.233 | 12 | 2 2 0 |
| 47.4 | 1.919 | 12 | 1 1 12 |
| 47.7 | 1.906 | 28 | 3 1 4 |
| 49.9 | 1.829 | 11 | 2 2 8 |
| 64.0 | 1.455 | 9 | 3 1 12 |
| 73.3 | 1.291 | 6 | 4 2 8 |

# 6
Diffraction record for K2Na6Sr. The XRD peak list is calculated, not measured: it uses a PBE-relaxed structure and copper Kα.

abc: 18.7406 10.8316 4.1322
angles: 90.00 90.05 90.00
Space group C2/m (No. 12)
Unique sites:
K (0.1661, 0.0000, 0.4985) x4
Na (0.0000, 0.1754, 0.0000) x4
Na (0.1628, 0.3378, 0.0038) x8
Sr (0.0000, 0.5000, 0.5000) x2

Largest 10 diffraction maxima, by angle, 2θ = 10–90°:
| 2theta | d/Å | Rel. int. | hkl |
| --- | --- | --- | --- |
| 16.4 | 5.413 | 27 | 0 2 0 |
| 27.1 | 3.284 | 100 | 3 1 1 |
| 28.6 | 3.125 | 74 | 6 0 0 |
| 39.8 | 2.264 | 34 | 6 2 1 |
| 49.7 | 1.833 | 34 | 9 1 1 |
| 50.6 | 1.804 | 13 | 9 3 0 |
| 53.1 | 1.723 | 23 | 6 0 2 |
| 59.1 | 1.563 | 8 | 12 0 0 |
| 66.2 | 1.411 | 13 | 12 2 1 |
| 69.1 | 1.359 | 10 | 9 3 2 |

# 7
Diffraction record for K2Na5Sr2. The XRD peak list is calculated, not measured: it uses a PBE-relaxed structure and copper Kα.

abc: 18.3750 8.1952 11.9865
angles: 90.00 90.00 90.00
Space group Cmce (No. 64)
Unique sites:
K (0.0000, 0.0011, 0.1550) x8
Na (0.0000, 0.0000, 0.5000) x4
Na (0.1590, 0.2505, 0.2502) x16
Sr (0.2410, 0.0000, 0.5000) x8

Largest 10 diffraction maxima, by angle, 2θ = 10–90°:
| 2theta | d/Å | Rel. int. | hkl |
| --- | --- | --- | --- |
| 17.7 | 5.020 | 56 | 2 0 2 |
| 19.3 | 4.594 | 54 | 4 0 0 |
| 24.4 | 3.646 | 70 | 4 0 2 |
| 26.3 | 3.383 | 79 | 0 2 2 |
| 28.1 | 3.174 | 91 | 2 2 2 |
| 29.2 | 3.058 | 100 | 4 2 0 |
| 31.4 | 2.849 | 44 | 2 0 4 |
| 32.9 | 2.726 | 56 | 6 0 2 |
| 42.2 | 2.141 | 37 | 4 2 4 |
| 47.9 | 1.898 | 52 | 6 2 4 |

# 8
Diffraction record for K2NaSr. The XRD peak list is calculated, not measured: it uses a PBE-relaxed structure and copper Kα.

abc: 4.3458 6.7442 16.2340
angles: 90.00 90.99 90.00
Space group P2_1/m (No. 11)
Unique sites:
K (0.2311, 0.2500, 0.2242) x2
K (0.2539, 0.2500, 0.9293) x2
Na (0.2671, 0.2500, 0.6736) x2
Sr (0.2509, 0.7500, 0.5338) x2

Largest 10 diffraction maxima, by angle, 2θ = 10–90°:
| 2theta | d/Å | Rel. int. | hkl |
| --- | --- | --- | --- |
| 10.9 | 8.116 | 40 | 0 0 2 |
| 24.9 | 3.575 | 55 | 1 1 -1 |
| 25.1 | 3.553 | 70 | 1 1 1 |
| 25.6 | 3.477 | 100 | 0 1 4 |
| 26.1 | 3.417 | 34 | 1 0 -3 |
| 26.4 | 3.372 | 74 | 0 2 0 |
| 26.6 | 3.353 | 71 | 1 0 3 |
| 26.9 | 3.311 | 52 | 1 1 2 |
| 37.5 | 2.400 | 25 | 1 2 -3 |
| 49.9 | 1.826 | 25 | 2 2 0 |

# 9
Diffraction record for KNa17Sr. The XRD peak list is calculated, not measured: it uses a PBE-relaxed structure and copper Kα.

abc: 12.0740 12.0740 18.2373
angles: 90.00 90.00 120.00
Space group R3m (No. 160, hexagonal axes)
Unique sites:
K (0.0000, 0.0000, 0.0000) x3
Na (0.0000, 0.0000, 0.5628) x3
Na (0.0000, 0.0000, 0.7577) x3
Na (0.0002, 0.5001, 0.1604) x9
Na (0.0336, 0.3639, 0.3278) x18
Na (0.1687, 0.3374, 0.1449) x9
Na (0.1745, 0.3490, 0.8459) x9
Sr (0.0000, 0.0000, 0.3327) x3

Largest 10 diffraction maxima, by angle, 2θ = 10–90°:
| 2theta | d/Å | Rel. int. | hkl |
| --- | --- | --- | --- |
| 20.7 | 4.284 | 21 | 1 1 3 |
| 25.6 | 3.485 | 26 | 3 0 0 |
| 25.9 | 3.438 | 18 | 0 2 4 |
| 29.4 | 3.040 | 19 | 0 0 6 |
| 29.6 | 3.022 | 100 | 2 2 0 |
| 29.9 | 2.990 | 24 | 2 0 5 |
| 33.1 | 2.704 | 12 | 2 2 3 |
| 47.6 | 1.910 | 13 | 3 3 3 |
| 52.2 | 1.752 | 14 | 0 3 9 |
| 52.5 | 1.743 | 13 | 6 0 0 |

# 10
Diffraction record for KNaTe2. The XRD peak list is calculated, not measured: it uses a PBE-relaxed structure and copper Kα.

abc: 5.9502 5.9502 20.2140
angles: 90.00 90.00 90.00
Space group I-42d (No. 122)
Unique sites:
K (0.0000, 0.0000, 0.0000) x4
Na (0.0000, 0.0000, 0.5000) x4
Te (0.0740, 0.2500, 0.6250) x8

Largest 10 diffraction maxima, by angle, 2θ = 10–90°:
| 2theta | d/Å | Rel. int. | hkl |
| --- | --- | --- | --- |
| 15.5 | 5.708 | 100 | 1 0 1 |
| 17.5 | 5.054 | 64 | 0 0 4 |
| 19.9 | 4.460 | 89 | 1 0 3 |
| 22.9 | 3.884 | 71 | 1 1 2 |
| 26.7 | 3.344 | 43 | 1 0 5 |
| 31.3 | 2.854 | 74 | 2 0 2 |
| 34.0 | 2.638 | 75 | 2 1 1 |
| 36.3 | 2.475 | 50 | 2 1 3 |
| 40.4 | 2.230 | 37 | 2 0 6 |
| 40.6 | 2.223 | 37 | 2 1 5 |

# 11
Diffraction record for KNa2Tl2. The XRD peak list is calculated, not measured: it uses a PBE-relaxed structure and copper Kα.

abc: 9.7050 9.7050 3.5278
angles: 90.00 90.00 90.00
Space group P4/mbm (No. 127)
Unique sites:
K (0.0000, 0.0000, 0.0000) x2
Na (0.1257, 0.3743, 0.0000) x4
Tl (0.1690, 0.6690, 0.5000) x4

Largest 10 diffraction maxima, by angle, 2θ = 10–90°:
| 2theta | d/Å | Rel. int. | hkl |
| --- | --- | --- | --- |
| 18.3 | 4.852 | 26 | 2 0 0 |
| 20.5 | 4.340 | 98 | 2 1 0 |
| 25.2 | 3.528 | 20 | 0 0 1 |
| 29.1 | 3.069 | 42 | 3 1 0 |
| 31.3 | 2.853 | 32 | 2 0 1 |
| 32.7 | 2.738 | 100 | 2 1 1 |
| 38.2 | 2.354 | 29 | 4 1 0 |
| 39.4 | 2.287 | 20 | 3 3 0 |
| 46.4 | 1.958 | 34 | 4 1 1 |
| 47.4 | 1.919 | 28 | 3 3 1 |

# 12
Diffraction record for K6NaTl2. The XRD peak list is calculated, not measured: it uses a PBE-relaxed structure and copper Kα.

abc: 11.5513 12.1295 13.5663
angles: 90.00 90.00 90.00
Space group Immm (No. 71)
Unique sites:
K (0.0000, 0.1988, 0.1809) x8
K (0.1925, 0.2186, 0.5000) x8
K (0.2071, 0.5000, 0.2557) x8
Na (0.0000, 0.5000, 0.0000) x2
Na (0.0000, 0.5000, 0.5000) x2
Tl (0.0000, 0.0000, 0.3884) x4
Tl (0.1373, 0.0000, 0.0000) x4

Largest 10 diffraction maxima, by angle, 2θ = 10–90°:
| 2theta | d/Å | Rel. int. | hkl |
| --- | --- | --- | --- |
| 10.6 | 8.365 | 100 | 1 1 0 |
| 14.6 | 6.065 | 33 | 0 2 0 |
| 16.8 | 5.269 | 16 | 1 1 2 |
| 18.2 | 4.867 | 16 | 2 1 1 |
| 25.8 | 3.459 | 29 | 1 2 3 |
| 27.7 | 3.223 | 29 | 3 1 2 |
| 28.2 | 3.161 | 38 | 3 2 1 |
| 29.5 | 3.032 | 17 | 0 4 0 |
| 32.5 | 2.751 | 17 | 4 1 1 |
| 33.9 | 2.645 | 20 | 0 1 5 |

# 13
Diffraction record for K4NaTl. The XRD peak list is calculated, not measured: it uses a PBE-relaxed structure and copper Kα.

abc: 9.3916 9.3916 7.3158
angles: 90.00 90.00 90.00
Space group P4/mcc (No. 124)
Unique sites:
K (0.1496, 0.3196, 0.0000) x8
Na (0.5000, 0.5000, 0.2500) x2
Tl (0.0000, 0.0000, 0.2500) x2

Largest 10 diffraction maxima, by angle, 2θ = 10–90°:
| 2theta | d/Å | Rel. int. | hkl |
| --- | --- | --- | --- |
| 13.3 | 6.641 | 100 | 1 1 0 |
| 21.2 | 4.200 | 50 | 2 1 0 |
| 24.4 | 3.642 | 49 | 2 1 1 |
| 26.1 | 3.409 | 33 | 1 0 2 |
| 26.9 | 3.320 | 40 | 2 2 0 |
| 27.8 | 3.204 | 79 | 1 1 2 |
| 30.1 | 2.970 | 85 | 3 1 0 |
| 31.0 | 2.886 | 78 | 2 0 2 |
| 32.5 | 2.758 | 60 | 2 1 2 |
| 48.0 | 1.894 | 34 | 3 3 2 |